[1]
Computed X-ray powder pattern
Compound: NaSn3
Radiation: Cu Kα (weighted mean of Kα1 and Kα2)
Structure: the GGA-PBE geometry in the Materials Project
Lines closer than 0.1° are merged.

Most intense lines, 2θ = 10–90°, in order of falling intensity:
h k l  d/Å  I/Imax
1 1 2  2.755  100
2 0 0  2.355  32
3 1 2  1.425  28
2 0 4  1.699  24
0 0 4  2.453  18
1 0 1  4.246  18
1 1 6  1.468  15
3 1 6  1.101  13

Structure:
```
data_NaSn3
_chemical_formula_sum 'Na2 Sn6'
_symmetry_space_group_name_H-M 'I 4/m m m'
_symmetry_Int_Tables_number 139
_symmetry_space_group_name_Hall '-I 4 2'
_cell_length_a 4.7094
_cell_length_b 4.7094
_cell_length_c 9.8117
_cell_angle_alpha 90.00
_cell_angle_beta 90.00
_cell_angle_gamma 90.00
loop_
_atom_site_label
_atom_site_type_symbol
_atom_site_fract_x
_atom_site_fract_y
_atom_site_fract_z
Na1 Na 0.0000 0.0000 0.0000
Sn1 Sn 0.0000 0.0000 0.5000
Sn2 Sn 0.0000 0.5000 0.2500
```

***

[2]
Computed X-ray powder pattern
Compound: HfNF5
Radiation: Cu Kα (weighted mean of Kα1 and Kα2)
Structure: the GGA-PBE geometry in the Materials Project
Lines closer than 0.1° are merged.

Most intense lines, 2θ = 10–90°, in order of falling intensity:
h k l  d/Å  I/Imax
1 0 0  6.971  100
1 2 0  3.583  45
1 2 -2  2.944  31
0 2 0  4.178  29
1 0 -2  4.149  28
0 0 2  3.717  26
2 0 -2  3.431  19
2 0 0  3.485  18

Structure:
```
data_HfNF5
_chemical_formula_sum 'Hf4 N4 F20'
_symmetry_space_group_name_H-M 'P 1 21/c 1'
_symmetry_Int_Tables_number 14
_cell_length_a 7.8140
_cell_length_b 8.3554
_cell_length_c 8.3321
_cell_angle_alpha 90.00
_cell_angle_beta 116.86
_cell_angle_gamma 90.00
loop_
_symmetry_equiv_pos_as_xyz
'x,y,z'
'-x,-y,-z'
'-x,y+1/2,-z+1/2'
'x,-y+1/2,z+1/2'
loop_
_atom_site_label
_atom_site_type_symbol
_atom_site_fract_x
_atom_site_fract_y
_atom_site_fract_z
Hf1 Hf 0.0015 0.2503 0.2479
N1 N 0.4955 0.5241 0.2508
F1 F 0.0014 0.2481 0.0012
F2 F 0.0017 0.5066 0.2533
F3 F 0.2714 0.7223 0.8537
F4 F 0.2745 0.2248 0.8775
F5 F 0.3107 0.0011 0.6318
```